[1]
Computed X-ray diffraction stick pattern of RbWO3 for copper Kα, from a structure optimized by DFT (GGA+U).
Intensities are scaled so that the largest is 100.

Top 6 peaks for 2θ from 5° to 70°, by intensity:
- d = 2.870 Å, I = 100, hkl 1 1 0
- d = 1.657 Å, I = 40, hkl 2 1 1
- d = 2.029 Å, I = 29, hkl 2 0 0
- d = 4.058 Å, I = 24, hkl 1 0 0
- d = 1.435 Å, I = 18, hkl 2 2 0
- d = 1.815 Å, I = 10, hkl 2 1 0

Atomic structure:
```
RbWO3
1.0
4.058 0.000 0.000
0.000 4.058 0.000
0.000 0.000 4.058
Rb W O
1 1 3
direct
0.000 0.000 0.000
0.500 0.500 0.500
0.000 0.500 0.500
0.500 0.000 0.500
0.500 0.500 0.000
```

[2]
Computed X-ray diffraction stick pattern of Li3Mn2CoO6 for copper Kα, from a structure optimized by DFT (GGA+U).
Intensities are scaled so that the largest is 100.

Top 6 peaks for 2θ from 5° to 70°, by intensity:
- d = 4.887 Å, I = 100, hkl 0 1 0
- d = 2.265 Å, I = 34, hkl -1 1 1
- d = 2.061 Å, I = 25, hkl 1 2 2
- d = 2.031 Å, I = 24, hkl 0 1 -3
- d = 2.689 Å, I = 20, hkl 1 0 -1
- d = 2.463 Å, I = 16, hkl 0 0 3

Atomic structure:
```
Li3Mn2CoO6
1.0
3.076 0.000 0.000
1.130 5.005 0.000
1.040 1.632 7.393
Li Mn Co O
3 2 1 6
direct
0.000 0.000 0.000
0.350 0.991 0.334
0.650 0.009 0.666
0.346 0.498 0.831
0.654 0.502 0.169
0.000 0.500 0.500
0.037 0.264 0.740
0.353 0.269 0.075
0.375 0.722 0.588
0.625 0.278 0.412
0.647 0.731 0.925
0.963 0.736 0.260
```